LiY3P3O12: simulated XRD peak list (Cu Kα), based on DFT lattice parameters and positions (PBE).
Peak positions follow from Bragg's law for the DFT cell and can differ from measured ones.

Structure:
```
LiY3P3O12
1.0
3.5113 -5.9440 0.0000
3.5113 5.9440 0.0000
-0.0285 0.0000 6.4765
Li Y P O
1 3 3 12
direct
0.0000 0.0000 0.0000
0.1987 0.8013 0.5000
0.2877 0.3638 0.7615
0.6362 0.7123 0.2385
0.1496 0.2652 0.3159
0.2056 0.7944 0.0000
0.7348 0.8504 0.6841
0.1387 0.4448 0.4539
0.1655 0.6149 0.8358
0.2492 0.1511 0.4583
0.2605 0.0024 0.8645
0.3126 0.3759 0.1321
0.3851 0.8345 0.1642
0.5552 0.8613 0.5461
0.6241 0.6874 0.8679
0.8489 0.7508 0.5417
0.9026 0.0790 0.7655
0.9210 0.0974 0.2345
0.9976 0.7395 0.1355
```

Largest 12 diffraction maxima, sorted by position, 5° ≤ 2θ ≤ 70°:
| d (Å) | two_theta | I_rel |
| --- | --- | --- |
| 6.046 | 14.65 | 100.0 |
| 5.944 | 14.90 | 47.4 |
| 4.424 | 20.07 | 28.9 |
| 3.451 | 25.82 | 23.7 |
| 3.023 | 29.55 | 46.3 |
| 2.972 | 30.07 | 32.0 |
| 2.845 | 31.44 | 76.8 |
| 2.743 | 32.65 | 29.4 |
| 2.140 | 42.24 | 16.2 |
| 1.855 | 49.10 | 12.8 |
| 1.849 | 49.29 | 12.0 |
| 1.690 | 54.28 | 15.2 |